Record 1
Diffraction record for Tm2MgTc. The powder XRD pattern is simulated, not measured: it uses DFT lattice parameters and positions (PBE) and Cu Kα X-rays.

```
Tm2MgTc
1.0
0.0000 3.5170 3.5170
3.5170 0.0000 3.5170
3.5170 3.5170 0.0000
Tm Mg Tc
2 1 1
Direct
0.2500 0.2500 0.2500
0.7500 0.7500 0.7500
0.0000 0.0000 0.0000
0.5000 0.5000 0.5000
```

Most intense lines, 2θ from 10° to 90°, by angle:
2theta	intensity
21.89	6
25.32	25
36.12	100
44.63	8
52.00	18
58.70	10
64.95	36
76.63	11
82.23	5
87.76	16

Record 2
Diffraction record for MgTe2. The powder XRD pattern is simulated, not measured: it uses DFT lattice parameters and positions (PBE) and Cu Kα X-rays.

```
MgTe2
1.0
7.1089 0.0000 0.0000
0.0000 7.1089 0.0000
0.0000 0.0000 7.1089
Mg Te
4 8
Direct
0.0000 0.0000 0.0000
0.0000 0.5000 0.5000
0.5000 0.0000 0.5000
0.5000 0.5000 0.0000
0.1133 0.6133 0.8867
0.1133 0.8867 0.3867
0.3867 0.1133 0.8867
0.3867 0.3867 0.3867
0.6133 0.6133 0.6133
0.6133 0.8867 0.1133
0.8867 0.1133 0.6133
0.8867 0.3867 0.1133
```

Most intense lines, 2θ from 10° to 90°, by angle:
2theta	intensity
21.65	33
28.07	100
30.81	90
42.16	27
46.03	43
47.88	57
51.42	16
59.60	22
71.46	23
83.90	18

Record 3
Diffraction record for Mg5Te. The powder XRD pattern is simulated, not measured: it uses DFT lattice parameters and positions (PBE) and Cu Kα X-rays.

```
Mg5Te
1.0
2.7889 1.6102 5.2850
-2.7889 1.6102 5.2850
0.0000 -3.2203 5.2850
Mg Te
5 1
Direct
0.0000 0.6685 0.3315
0.1702 0.1702 0.1702
0.3315 0.0000 0.6685
0.6685 0.3315 0.0000
0.8298 0.8298 0.8298
0.5000 0.5000 0.5000
```

Most intense lines, 2θ from 10° to 90°, by angle:
2theta	intensity
16.78	22
19.21	48
21.54	36
29.14	19
32.09	33
33.92	26
36.43	100
47.38	26
62.34	20
68.20	19

Record 4
Diffraction record for Mg3Te. The powder XRD pattern is simulated, not measured: it uses DFT lattice parameters and positions (PBE) and Cu Kα X-rays.

```
Mg3Te
1.0
-2.1394 2.1394 5.2825
2.1394 -2.1394 5.2825
2.1394 2.1394 -5.2825
Mg Te
3 1
Direct
0.0000 0.0000 0.0000
0.2500 0.7500 0.5000
0.7500 0.2500 0.5000
0.5000 0.5000 0.0000
```

Most intense lines, 2θ from 10° to 90°, by angle:
2theta	intensity
16.78	34
22.42	69
32.94	26
33.94	25
34.15	100
42.24	27
48.34	18
55.26	24
60.87	18
72.05	22

Record 5
Diffraction record for Th6Mg23. The powder XRD pattern is simulated, not measured: it uses DFT lattice parameters and positions (PBE) and Cu Kα X-rays.

```
Th6Mg23
1.0
0.0000 7.1537 7.1537
7.1537 0.0000 7.1537
7.1537 7.1537 0.0000
Th Mg
6 23
Direct
0.1836 0.1836 0.8164
0.1836 0.8164 0.1836
0.1836 0.8164 0.8164
0.8164 0.1836 0.1836
0.8164 0.1836 0.8164
0.8164 0.8164 0.1836
0.0000 0.0000 0.5000
0.0000 0.5000 0.0000
0.0000 0.5000 0.5000
0.1406 0.6198 0.6198
0.1700 0.1700 0.1700
0.1700 0.1700 0.4900
0.1700 0.4900 0.1700
0.3802 0.3802 0.3802
0.3802 0.3802 0.8594
0.3802 0.8594 0.3802
0.4900 0.1700 0.1700
0.5000 0.0000 0.0000
0.5000 0.0000 0.5000
0.5000 0.5000 0.0000
0.5000 0.5000 0.5000
0.5100 0.8300 0.8300
0.6198 0.1406 0.6198
0.6198 0.6198 0.1406
0.6198 0.6198 0.6198
0.8300 0.5100 0.8300
0.8300 0.8300 0.5100
0.8300 0.8300 0.8300
0.8594 0.3802 0.3802
```

Most intense lines, 2θ from 10° to 90°, by angle:
2theta	intensity
10.71	62
12.37	35
21.52	36
27.17	48
30.61	40
32.52	100
37.72	31
45.26	23
54.41	36
64.84	23

Record 6
Diffraction record for Th3Mg. The powder XRD pattern is simulated, not measured: it uses DFT lattice parameters and positions (PBE) and Cu Kα X-rays.

```
Th3Mg
1.0
-2.4627 2.4627 5.0600
2.4627 -2.4627 5.0600
2.4627 2.4627 -5.0600
Th Mg
3 1
Direct
0.0000 0.0000 0.0000
0.2500 0.7500 0.5000
0.7500 0.2500 0.5000
0.5000 0.5000 0.0000
```

Most intense lines, 2θ from 10° to 90°, by angle:
2theta	intensity
20.05	23
31.18	100
35.48	18
36.48	33
51.81	25
52.55	12
61.04	15
62.37	31
65.02	13
84.71	13

Record 7
Diffraction record for Th3Mg. The powder XRD pattern is simulated, not measured: it uses DFT lattice parameters and positions (PBE) and Cu Kα X-rays.

```
Th3Mg
1.0
4.9642 0.0000 0.0000
0.0000 4.9642 0.0000
0.0000 0.0000 4.9642
Th Mg
3 1
Direct
0.0000 0.0000 0.5000
0.0000 0.5000 0.0000
0.5000 0.0000 0.0000
0.5000 0.5000 0.5000
```

Most intense lines, 2θ from 10° to 90°, by angle:
2theta	intensity
17.87	23
25.37	20
31.21	100
36.19	51
40.64	12
52.11	37
62.00	44
65.09	13
85.21	19
87.98	18